For La3GeCl3, the GGA-PBE geometry in Alexandria gives the simulated X-ray powder pattern in this record (Cu Kα).

Structure:
Lattice parameters (Å, degrees): 10.4283 10.4283 10.4283 109.47 109.47 109.47
Sites, in units of the cell vectors:
La (0.0049, 0.0098, 0.2549)
La (0.0049, 0.4951, 0.7500)
La (0.0098, 0.2549, 0.0049)
La (0.2451, 0.2549, 0.7500)
La (0.2451, 0.4902, 0.4951)
La (0.2549, 0.0049, 0.0098)
La (0.2549, 0.7500, 0.2451)
La (0.4902, 0.4951, 0.2451)
La (0.4951, 0.2451, 0.4902)
La (0.4951, 0.7500, 0.0049)
La (0.7500, 0.0049, 0.4951)
La (0.7500, 0.2451, 0.2549)
Ge (0.0000, 0.2500, 0.5000)
Ge (0.2500, 0.2500, 0.2500)
Ge (0.2500, 0.5000, 0.0000)
Ge (0.5000, 0.0000, 0.2500)
Cl (0.0008, 0.0016, 0.7508)
Cl (0.0008, 0.4992, 0.2500)
Cl (0.0016, 0.7508, 0.0008)
Cl (0.2500, 0.0008, 0.4992)
Cl (0.2500, 0.7492, 0.7508)
Cl (0.4984, 0.4992, 0.7492)
Cl (0.4992, 0.2500, 0.0008)
Cl (0.4992, 0.7492, 0.4984)
Cl (0.7492, 0.4984, 0.4992)
Cl (0.7492, 0.7508, 0.2500)
Cl (0.7508, 0.0008, 0.0016)
Cl (0.7508, 0.2500, 0.7492)

Largest 6 diffraction maxima, by intensity, 10 to 90 degrees two-theta:
d = 3.010 Å, I 100
d = 2.129 Å, I 73
d = 8.515 Å, I 59
d = 1.346 Å, I 31
d = 3.476 Å, I 27
d = 1.738 Å, I 25